Tb2Pm7Er4: calculated X-ray powder pattern (Cu Kα (λ = 1.5418 Å)), based on the GGA-PBE geometry in Alexandria.

Structural model:
Lattice parameters (Å, degrees): 6.8295 8.7191 8.8696 116.83 100.95 103.86
Fractional positions:
1 Tb 0.1962 0.2269 0.1244
2 Tb 0.8038 0.7731 0.8756
3 Pm 0.1493 0.9719 0.6843
4 Pm 0.2565 0.5066 0.5685
5 Pm 0.4129 0.1410 0.4564
6 Pm 0.5000 0.5000 0.0000
7 Pm 0.5871 0.8590 0.5436
8 Pm 0.7435 0.4934 0.4315
9 Pm 0.8507 0.0281 0.3157
10 Er 0.0760 0.6489 0.2227
11 Er 0.3229 0.8279 0.9934
12 Er 0.6771 0.1721 0.0066
13 Er 0.9240 0.3511 0.7773

The 12 most intense peaks (10 to 90 degrees two-theta), in order of rising 2θ:
two_theta, I (rel.)
29.83, 40
31.18, 45
31.35, 68
31.53, 80
32.05, 100
32.74, 21
33.66, 27
42.78, 14
45.13, 11
46.75, 15
56.97, 15
62.97, 11


Mn2SiRh: calculated X-ray powder pattern (Cu Kα (λ = 1.5418 Å)), based on the GGA-PBE geometry in Alexandria.

Structural model:
Lattice parameters (Å, degrees): 3.8193 3.8193 6.9513 90.00 90.00 90.00
Fractional positions:
1 Mn 0.0000 0.0000 0.0000
2 Mn 0.0000 0.5000 0.2500
3 Mn 0.5000 0.0000 0.7500
4 Mn 0.5000 0.5000 0.5000
5 Si 0.0000 0.0000 0.5000
6 Si 0.5000 0.5000 0.0000
7 Rh 0.0000 0.5000 0.7500
8 Rh 0.5000 0.0000 0.2500

The 12 most intense peaks (10 to 90 degrees two-theta), in order of rising 2θ:
two_theta, I (rel.)
25.63, 10
26.63, 19
33.17, 10
42.38, 100
45.80, 4
47.62, 35
52.67, 13
54.85, 5
55.39, 5
69.63, 11
73.71, 18
85.02, 24


K3AuSe13: calculated X-ray powder pattern (Cu Kα (λ = 1.5418 Å)), based on the GGA-PBE geometry in Alexandria.

Structural model:
Lattice parameters (Å, degrees): 15.2466 5.1178 13.8537 90.00 94.35 90.00
Fractional positions:
1 K 0.0000 0.1654 0.2500
2 K 0.0000 0.8346 0.7500
3 K 0.2761 0.2021 0.1622
4 K 0.2761 0.7979 0.6622
5 K 0.7239 0.2021 0.3378
6 K 0.7239 0.7979 0.8378
7 Au 0.5000 0.0000 0.0000
8 Au 0.5000 0.0000 0.5000
9 Se 0.0701 0.3171 0.5798
10 Se 0.0701 0.6829 0.0798
11 Se 0.1482 0.0791 0.4642
12 Se 0.1482 0.9209 0.9642
13 Se 0.1503 0.3076 0.7334
14 Se 0.1503 0.6924 0.2334
15 Se 0.2677 0.3578 0.4244
16 Se 0.2677 0.6422 0.9244
17 Se 0.3799 0.2965 0.5523
18 Se 0.3799 0.7035 0.0523
19 Se 0.4119 0.0907 0.8418
20 Se 0.4119 0.9093 0.3418
21 Se 0.5000 0.3646 0.7500
22 Se 0.5000 0.6354 0.2500
23 Se 0.5881 0.0907 0.6582
24 Se 0.5881 0.9093 0.1582
25 Se 0.6201 0.2965 0.9477
26 Se 0.6201 0.7035 0.4477
27 Se 0.7323 0.3578 0.0756
28 Se 0.7323 0.6422 0.5756
29 Se 0.8497 0.3076 0.7666
30 Se 0.8497 0.6924 0.2666
31 Se 0.8518 0.0791 0.0358
32 Se 0.8518 0.9209 0.5358
33 Se 0.9299 0.3171 0.9202
34 Se 0.9299 0.6829 0.4202

The 12 most intense peaks (10 to 90 degrees two-theta), in order of rising 2θ:
two_theta, I (rel.)
12.82, 29
19.25, 33
22.16, 24
25.22, 25
27.31, 100
27.98, 27
29.59, 20
32.44, 67
37.53, 19
41.20, 21
42.62, 36
43.08, 25


SrTlSb: calculated X-ray powder pattern (Cu Kα (λ = 1.5418 Å)), based on the GGA-PBE geometry in Alexandria.

Structural model:
Lattice parameters (Å, degrees): 8.2891 5.0020 10.5927 90.00 90.00 90.00
Fractional positions:
1 Sr 0.1412 0.2500 0.1563
2 Sr 0.3588 0.7500 0.6563
3 Sr 0.6412 0.2500 0.3437
4 Sr 0.8588 0.7500 0.8437
5 Tl 0.0064 0.7500 0.4216
6 Tl 0.4936 0.2500 0.9216
7 Tl 0.5064 0.7500 0.0784
8 Tl 0.9936 0.2500 0.5784
9 Sb 0.1446 0.2500 0.8322
10 Sb 0.3554 0.7500 0.3322
11 Sb 0.6446 0.2500 0.6678
12 Sb 0.8554 0.7500 0.1678

The 12 most intense peaks (10 to 90 degrees two-theta), in order of rising 2θ:
two_theta, I (rel.)
13.56, 100
19.63, 63
22.39, 50
26.77, 88
27.96, 60
32.88, 58
33.52, 78
35.91, 73
38.01, 61
40.03, 57
41.03, 43
49.93, 51


What did the fourth record say?
SrTlSb: calculated X-ray powder pattern (Cu Kα (λ = 1.5418 Å)), based on the GGA-PBE geometry in Alexandria.

Structural model:
Lattice parameters (Å, degrees): 8.2891 5.0020 10.5927 90.00 90.00 90.00
Fractional positions:
1 Sr 0.1412 0.2500 0.1563
2 Sr 0.3588 0.7500 0.6563
3 Sr 0.6412 0.2500 0.3437
4 Sr 0.8588 0.7500 0.8437
5 Tl 0.0064 0.7500 0.4216
6 Tl 0.4936 0.2500 0.9216
7 Tl 0.5064 0.7500 0.0784
8 Tl 0.9936 0.2500 0.5784
9 Sb 0.1446 0.2500 0.8322
10 Sb 0.3554 0.7500 0.3322
11 Sb 0.6446 0.2500 0.6678
12 Sb 0.8554 0.7500 0.1678

The 12 most intense peaks (10 to 90 degrees two-theta), in order of rising 2θ:
two_theta, I (rel.)
13.56, 100
19.63, 63
22.39, 50
26.77, 88
27.96, 60
32.88, 58
33.52, 78
35.91, 73
38.01, 61
40.03, 57
41.03, 43
49.93, 51